Starting from the PBE geometry in OQMD, the XRD peak list of ScAl8Cu4 was simulated for CuKα.
Intensities are scaled so that the largest is 100.

Structural model:
```
data_ScAl8Cu4
_symmetry_space_group_name_H-M 'P 1'
_symmetry_Int_Tables_number 1
_cell_length_a 6.6763
_cell_length_b 6.6763
_cell_length_c 6.6763
_cell_angle_alpha 98.36
_cell_angle_beta 98.36
_cell_angle_gamma 135.17
loop_
_symmetry_equiv_pos_as_xyz
'x,y,z'
loop_
_atom_site_label
_atom_site_type_symbol
_atom_site_fract_x
_atom_site_fract_y
_atom_site_fract_z
Sc1 Sc 0.0000 0.0000 0.0000
Al1 Al 0.0000 0.3454 0.3454
Al2 Al 0.0000 0.6546 0.6546
Al3 Al 0.2834 0.5000 0.7834
Al4 Al 0.3454 0.0000 0.3454
Al5 Al 0.5000 0.2834 0.7834
Al6 Al 0.5000 0.7166 0.2166
Al7 Al 0.6546 0.0000 0.6546
Al8 Al 0.7166 0.5000 0.2166
Cu1 Cu 0.0000 0.0000 0.5000
Cu2 Cu 0.0000 0.5000 0.0000
Cu3 Cu 0.5000 0.0000 0.0000
Cu4 Cu 0.5000 0.5000 0.5000
```

Largest 8 diffraction maxima, sorted by position, 5° ≤ 2θ ≤ 70°:
d 4.364, I 82
d 3.086, I 32
d 2.526, I 18
d 2.199, I 95
d 2.184, I 100
d 1.964, I 70
d 1.952, I 52
d 1.549, I 27

---

Starting from the PBE geometry in OQMD, the XRD peak list of ScAl2Cu5 was simulated for CuKα.
Intensities are scaled so that the largest is 100.

Structural model:
```
data_ScAl2Cu5
_symmetry_space_group_name_H-M 'P 1'
_symmetry_Int_Tables_number 1
_cell_length_a 7.5182
_cell_length_b 7.5182
_cell_length_c 7.5182
_cell_angle_alpha 133.66
_cell_angle_beta 133.66
_cell_angle_gamma 67.62
loop_
_symmetry_equiv_pos_as_xyz
'x,y,z'
loop_
_atom_site_label
_atom_site_type_symbol
_atom_site_fract_x
_atom_site_fract_y
_atom_site_fract_z
Sc1 Sc 0.3750 0.6250 0.7500
Sc2 Sc 0.6250 0.3750 0.2500
Al1 Al 0.1340 0.3840 0.7500
Al2 Al 0.3840 0.1340 0.2500
Al3 Al 0.6160 0.8660 0.7500
Al4 Al 0.8660 0.6160 0.2500
Cu1 Cu 0.0000 0.2268 0.2268
Cu2 Cu 0.0000 0.7732 0.7732
Cu3 Cu 0.1250 0.8750 0.2500
Cu4 Cu 0.2268 0.0000 0.7268
Cu5 Cu 0.2268 0.5000 0.2268
Cu6 Cu 0.5000 0.2268 0.7268
Cu7 Cu 0.5000 0.7732 0.2732
Cu8 Cu 0.7732 0.0000 0.2732
Cu9 Cu 0.7732 0.5000 0.7732
Cu10 Cu 0.8750 0.1250 0.7500
```

Largest 8 diffraction maxima, sorted by position, 5° ≤ 2θ ≤ 70°:
d 5.347, I 6
d 3.476, I 7
d 3.123, I 5
d 2.958, I 7
d 2.148, I 100
d 2.092, I 45
d 1.562, I 9
d 1.479, I 13

---

Starting from the PBE geometry in OQMD, the XRD peak list of Sc3Al3Cu2Si was simulated for CuKα.
Intensities are scaled so that the largest is 100.

Structural model:
```
data_Sc3Al3Cu2Si
_symmetry_space_group_name_H-M 'P 1'
_symmetry_Int_Tables_number 1
_cell_length_a 6.9856
_cell_length_b 6.9856
_cell_length_c 3.6321
_cell_angle_alpha 90.00
_cell_angle_beta 90.00
_cell_angle_gamma 120.00
loop_
_symmetry_equiv_pos_as_xyz
'x,y,z'
loop_
_atom_site_label
_atom_site_type_symbol
_atom_site_fract_x
_atom_site_fract_y
_atom_site_fract_z
Sc1 Sc 0.0000 0.3934 0.0000
Sc2 Sc 0.3934 0.0000 0.0000
Sc3 Sc 0.6066 0.6066 0.0000
Al1 Al 0.0000 0.7345 0.5000
Al2 Al 0.2655 0.2655 0.5000
Al3 Al 0.7345 0.0000 0.5000
Cu1 Cu 0.3333 0.6667 0.5000
Cu2 Cu 0.6667 0.3333 0.5000
Si1 Si 0.0000 0.0000 0.0000
```

Largest 8 diffraction maxima, sorted by position, 5° ≤ 2θ ≤ 70°:
d 3.493, I 20
d 2.518, I 100
d 2.324, I 64
d 2.287, I 26
d 2.017, I 49
d 1.935, I 26
d 1.816, I 20
d 1.349, I 24

---

Starting from the PBE geometry in OQMD, the XRD peak list of Al2Cu2Te3Se was simulated for CuKα.
Intensities are scaled so that the largest is 100.

Structural model:
```
data_Al2Cu2Te3Se
_symmetry_space_group_name_H-M 'P 1'
_symmetry_Int_Tables_number 1
_cell_length_a 7.2514
_cell_length_b 7.2514
_cell_length_c 5.9800
_cell_angle_alpha 114.01
_cell_angle_beta 114.01
_cell_angle_gamma 48.64
loop_
_symmetry_equiv_pos_as_xyz
'x,y,z'
loop_
_atom_site_label
_atom_site_type_symbol
_atom_site_fract_x
_atom_site_fract_y
_atom_site_fract_z
Al1 Al 0.1199 0.1199 0.3831
Al2 Al 0.8801 0.8801 0.6169
Cu1 Cu 0.3547 0.4048 0.1410
Cu2 Cu 0.5952 0.6453 0.8590
Te1 Te 0.4873 0.0129 0.2414
Te2 Te 0.7320 0.2680 0.0000
Te3 Te 0.9871 0.5127 0.7586
Se1 Se 0.2400 0.7600 0.5000
```

Largest 8 diffraction maxima, sorted by position, 5° ≤ 2θ ≤ 70°:
d 3.446, I 97
d 3.430, I 100
d 2.988, I 19
d 2.112, I 64
d 2.101, I 42
d 2.095, I 21
d 1.804, I 15
d 1.799, I 45

---

Starting from the PBE geometry in OQMD, the XRD peak list of AlCu2Si was simulated for CuKα.
Intensities are scaled so that the largest is 100.

Structural model:
```
data_AlCu2Si
_symmetry_space_group_name_H-M 'P 1'
_symmetry_Int_Tables_number 1
_cell_length_a 5.9602
_cell_length_b 5.9602
_cell_length_c 5.9602
_cell_angle_alpha 90.00
_cell_angle_beta 90.00
_cell_angle_gamma 90.00
loop_
_symmetry_equiv_pos_as_xyz
'x,y,z'
loop_
_atom_site_label
_atom_site_type_symbol
_atom_site_fract_x
_atom_site_fract_y
_atom_site_fract_z
Al1 Al 0.0000 0.0000 0.0000
Al2 Al 0.0000 0.0000 0.5000
Al3 Al 0.0000 0.5000 0.0000
Al4 Al 0.5000 0.0000 0.0000
Cu1 Cu 0.2524 0.2524 0.2524
Cu2 Cu 0.2524 0.2524 0.7476
Cu3 Cu 0.2524 0.7476 0.2524
Cu4 Cu 0.2524 0.7476 0.7476
Cu5 Cu 0.7476 0.2524 0.2524
Cu6 Cu 0.7476 0.2524 0.7476
Cu7 Cu 0.7476 0.7476 0.2524
Cu8 Cu 0.7476 0.7476 0.7476
Si1 Si 0.0000 0.5000 0.5000
Si2 Si 0.5000 0.0000 0.5000
Si3 Si 0.5000 0.5000 0.0000
Si4 Si 0.5000 0.5000 0.5000
```

Largest 4 diffraction maxima, sorted by position, 5° ≤ 2θ ≤ 70°:
d 2.980, I 25
d 2.107, I 100
d 1.721, I 6
d 1.490, I 15

---

Starting from the PBE geometry in OQMD, the XRD peak list of AlCu2Sn was simulated for CuKα.
Intensities are scaled so that the largest is 100.

Structural model:
```
data_AlCu2Sn
_symmetry_space_group_name_H-M 'P 1'
_symmetry_Int_Tables_number 1
_cell_length_a 6.3766
_cell_length_b 6.3766
_cell_length_c 6.3766
_cell_angle_alpha 90.00
_cell_angle_beta 90.00
_cell_angle_gamma 90.00
loop_
_symmetry_equiv_pos_as_xyz
'x,y,z'
loop_
_atom_site_label
_atom_site_type_symbol
_atom_site_fract_x
_atom_site_fract_y
_atom_site_fract_z
Al1 Al 0.0000 0.0000 0.0000
Al2 Al 0.0000 0.0000 0.5000
Al3 Al 0.0000 0.5000 0.0000
Al4 Al 0.5000 0.0000 0.0000
Cu1 Cu 0.2224 0.2224 0.2224
Cu2 Cu 0.2224 0.2224 0.7776
Cu3 Cu 0.2224 0.7776 0.2224
Cu4 Cu 0.2224 0.7776 0.7776
Cu5 Cu 0.7776 0.2224 0.2224
Cu6 Cu 0.7776 0.2224 0.7776
Cu7 Cu 0.7776 0.7776 0.2224
Cu8 Cu 0.7776 0.7776 0.7776
Sn1 Sn 0.0000 0.5000 0.5000
Sn2 Sn 0.5000 0.0000 0.5000
Sn3 Sn 0.5000 0.5000 0.0000
Sn4 Sn 0.5000 0.5000 0.5000
```

Largest 8 diffraction maxima, sorted by position, 5° ≤ 2θ ≤ 70°:
d 6.377, I 4
d 3.682, I 8
d 2.852, I 26
d 2.254, I 100
d 2.126, I 9
d 1.594, I 15
d 1.547, I 10
d 1.391, I 5

---

Starting from the PBE geometry in OQMD, the XRD peak list of AlCu2Sn was simulated for CuKα.
Intensities are scaled so that the largest is 100.

Structural model:
```
data_AlCu2Sn
_symmetry_space_group_name_H-M 'P 1'
_symmetry_Int_Tables_number 1
_cell_length_a 6.3769
_cell_length_b 6.3769
_cell_length_c 6.3769
_cell_angle_alpha 90.00
_cell_angle_beta 90.00
_cell_angle_gamma 90.00
loop_
_symmetry_equiv_pos_as_xyz
'x,y,z'
loop_
_atom_site_label
_atom_site_type_symbol
_atom_site_fract_x
_atom_site_fract_y
_atom_site_fract_z
Al1 Al 0.0000 0.0000 0.0000
Al2 Al 0.0000 0.0000 0.5000
Al3 Al 0.0000 0.5000 0.0000
Al4 Al 0.5000 0.0000 0.0000
Cu1 Cu 0.2223 0.2223 0.2223
Cu2 Cu 0.2223 0.2223 0.7777
Cu3 Cu 0.2223 0.7777 0.2223
Cu4 Cu 0.2223 0.7777 0.7777
Cu5 Cu 0.7777 0.2223 0.2223
Cu6 Cu 0.7777 0.2223 0.7777
Cu7 Cu 0.7777 0.7777 0.2223
Cu8 Cu 0.7777 0.7777 0.7777
Sn1 Sn 0.0000 0.5000 0.5000
Sn2 Sn 0.5000 0.0000 0.5000
Sn3 Sn 0.5000 0.5000 0.0000
Sn4 Sn 0.5000 0.5000 0.5000
```

Largest 8 diffraction maxima, sorted by position, 5° ≤ 2θ ≤ 70°:
d 6.377, I 4
d 3.682, I 8
d 2.852, I 26
d 2.255, I 100
d 2.126, I 9
d 1.594, I 15
d 1.547, I 10
d 1.392, I 5

---

Starting from the PBE geometry in OQMD, the XRD peak list of TbAl6Cu was simulated for CuKα.
Intensities are scaled so that the largest is 100.

Structural model:
```
data_TbAl6Cu
_symmetry_space_group_name_H-M 'P 1'
_symmetry_Int_Tables_number 1
_cell_length_a 6.0270
_cell_length_b 6.0270
_cell_length_c 4.5481
_cell_angle_alpha 90.00
_cell_angle_beta 90.00
_cell_angle_gamma 120.00
loop_
_symmetry_equiv_pos_as_xyz
'x,y,z'
loop_
_atom_site_label
_atom_site_type_symbol
_atom_site_fract_x
_atom_site_fract_y
_atom_site_fract_z
Tb1 Tb 0.0000 0.0000 0.0000
Al1 Al 0.1819 0.3638 0.5000
Al2 Al 0.1819 0.8181 0.5000
Al3 Al 0.5048 0.0095 0.0000
Al4 Al 0.5048 0.4952 0.0000
Al5 Al 0.6362 0.8181 0.5000
Al6 Al 0.9905 0.4952 0.0000
Cu1 Cu 0.6667 0.3333 0.5000
```

Largest 8 diffraction maxima, sorted by position, 5° ≤ 2θ ≤ 70°:
d 5.220, I 40
d 3.429, I 72
d 3.014, I 30
d 2.610, I 29
d 2.274, I 22
d 2.264, I 100
d 1.810, I 19
d 1.507, I 17

---

Starting from the PBE geometry in OQMD, the XRD peak list of Tm6Al7Cu16 was simulated for CuKα.
Intensities are scaled so that the largest is 100.

Structural model:
```
data_Tm6Al7Cu16
_symmetry_space_group_name_H-M 'P 1'
_symmetry_Int_Tables_number 1
_cell_length_a 8.6330
_cell_length_b 8.6330
_cell_length_c 8.6330
_cell_angle_alpha 60.00
_cell_angle_beta 60.00
_cell_angle_gamma 60.00
loop_
_symmetry_equiv_pos_as_xyz
'x,y,z'
loop_
_atom_site_label
_atom_site_type_symbol
_atom_site_fract_x
_atom_site_fract_y
_atom_site_fract_z
Tm1 Tm 0.2104 0.2104 0.7896
Tm2 Tm 0.2104 0.7896 0.2104
Tm3 Tm 0.2104 0.7896 0.7896
Tm4 Tm 0.7896 0.2104 0.2104
Tm5 Tm 0.7896 0.2104 0.7896
Tm6 Tm 0.7896 0.7896 0.2104
Al1 Al 0.0000 0.0000 0.5000
Al2 Al 0.0000 0.5000 0.0000
Al3 Al 0.0000 0.5000 0.5000
Al4 Al 0.5000 0.0000 0.0000
Al5 Al 0.5000 0.0000 0.5000
Al6 Al 0.5000 0.5000 0.0000
Al7 Al 0.5000 0.5000 0.5000
Cu1 Cu 0.1365 0.6212 0.6212
Cu2 Cu 0.1722 0.1722 0.1722
Cu3 Cu 0.1722 0.1722 0.4833
Cu4 Cu 0.1722 0.4833 0.1722
Cu5 Cu 0.3788 0.3788 0.3788
Cu6 Cu 0.3788 0.3788 0.8635
Cu7 Cu 0.3788 0.8635 0.3788
Cu8 Cu 0.4833 0.1722 0.1722
Cu9 Cu 0.5167 0.8278 0.8278
Cu10 Cu 0.6212 0.1365 0.6212
Cu11 Cu 0.6212 0.6212 0.1365
Cu12 Cu 0.6212 0.6212 0.6212
Cu13 Cu 0.8278 0.5167 0.8278
Cu14 Cu 0.8278 0.8278 0.5167
Cu15 Cu 0.8278 0.8278 0.8278
Cu16 Cu 0.8635 0.3788 0.3788
```

Largest 8 diffraction maxima, sorted by position, 5° ≤ 2θ ≤ 70°:
d 3.524, I 62
d 2.801, I 16
d 2.492, I 30
d 2.350, I 100
d 2.158, I 90
d 2.035, I 19
d 1.710, I 16
d 1.439, I 23

---

Starting from the PBE geometry in OQMD, the XRD peak list of UAl5Cu6 was simulated for CuKα.
Intensities are scaled so that the largest is 100.

Structural model:
```
data_UAl5Cu6
_symmetry_space_group_name_H-M 'P 1'
_symmetry_Int_Tables_number 1
_cell_length_a 10.2875
_cell_length_b 8.1530
_cell_length_c 7.8086
_cell_angle_alpha 80.23
_cell_angle_beta 51.35
_cell_angle_gamma 48.42
loop_
_symmetry_equiv_pos_as_xyz
'x,y,z'
loop_
_atom_site_label
_atom_site_type_symbol
_atom_site_fract_x
_atom_site_fract_y
_atom_site_fract_z
U1 U 0.1250 0.1250 0.1250
U2 U 0.8750 0.8750 0.8750
Al1 Al 0.0539 0.3703 0.7860
Al2 Al 0.2140 0.7103 0.9461
Al3 Al 0.2897 0.7860 0.3703
Al4 Al 0.3703 0.0539 0.2897
Al5 Al 0.3750 0.3750 0.3750
Al6 Al 0.6250 0.6250 0.6250
Al7 Al 0.6297 0.9461 0.7103
Al8 Al 0.7103 0.2140 0.6297
Al9 Al 0.7860 0.2897 0.0539
Al10 Al 0.9461 0.6297 0.2140
Cu1 Cu 0.0000 0.5000 0.5000
Cu2 Cu 0.0573 0.7663 0.3672
Cu3 Cu 0.2337 0.9427 0.6908
Cu4 Cu 0.3092 0.3672 0.7663
Cu5 Cu 0.3672 0.3092 0.0573
Cu6 Cu 0.5000 0.0000 0.5000
Cu7 Cu 0.5000 0.5000 0.0000
Cu8 Cu 0.5000 0.5000 0.5000
Cu9 Cu 0.6328 0.6908 0.9427
Cu10 Cu 0.6908 0.6328 0.2337
Cu11 Cu 0.7663 0.0573 0.3092
Cu12 Cu 0.9427 0.2337 0.6328
```

Largest 8 diffraction maxima, sorted by position, 5° ≤ 2θ ≤ 70°:
d 3.715, I 100
d 2.982, I 44
d 2.669, I 87
d 2.566, I 63
d 2.329, I 77
d 2.293, I 84
d 2.251, I 70
d 2.143, I 61

---

Starting from the PBE geometry in OQMD, the XRD peak list of AlZnCu2 was simulated for CuKα.
Intensities are scaled so that the largest is 100.

Structural model:
```
data_AlZnCu2
_symmetry_space_group_name_H-M 'P 1'
_symmetry_Int_Tables_number 1
_cell_length_a 5.8993
_cell_length_b 5.8993
_cell_length_c 5.8993
_cell_angle_alpha 90.00
_cell_angle_beta 90.00
_cell_angle_gamma 90.00
loop_
_symmetry_equiv_pos_as_xyz
'x,y,z'
loop_
_atom_site_label
_atom_site_type_symbol
_atom_site_fract_x
_atom_site_fract_y
_atom_site_fract_z
Al1 Al 0.0000 0.0000 0.0000
Al2 Al 0.0000 0.0000 0.5000
Al3 Al 0.0000 0.5000 0.0000
Al4 Al 0.5000 0.0000 0.0000
Zn1 Zn 0.0000 0.5000 0.5000
Zn2 Zn 0.5000 0.0000 0.5000
Zn3 Zn 0.5000 0.5000 0.0000
Zn4 Zn 0.5000 0.5000 0.5000
Cu1 Cu 0.2492 0.2492 0.2492
Cu2 Cu 0.2492 0.2492 0.7508
Cu3 Cu 0.2492 0.7508 0.2492
Cu4 Cu 0.2492 0.7508 0.7508
Cu5 Cu 0.7508 0.2492 0.2492
Cu6 Cu 0.7508 0.2492 0.7508
Cu7 Cu 0.7508 0.7508 0.2492
Cu8 Cu 0.7508 0.7508 0.7508
```

Largest 8 diffraction maxima, sorted by position, 5° ≤ 2θ ≤ 70°:
d 5.899, I 5
d 3.406, I 2
d 2.950, I 4
d 2.638, I 4
d 2.086, I 100
d 1.966, I 2
d 1.779, I 1
d 1.475, I 15

---

Starting from the PBE geometry in OQMD, the XRD peak list of Zr2AlCu3 was simulated for CuKα.
Intensities are scaled so that the largest is 100.

Structural model:
```
data_Zr2AlCu3
_symmetry_space_group_name_H-M 'P 1'
_symmetry_Int_Tables_number 1
_cell_length_a 5.1939
_cell_length_b 5.1939
_cell_length_c 8.1313
_cell_angle_alpha 90.00
_cell_angle_beta 90.00
_cell_angle_gamma 120.00
loop_
_symmetry_equiv_pos_as_xyz
'x,y,z'
loop_
_atom_site_label
_atom_site_type_symbol
_atom_site_fract_x
_atom_site_fract_y
_atom_site_fract_z
Zr1 Zr 0.3333 0.6667 0.0459
Zr2 Zr 0.3333 0.6667 0.4541
Zr3 Zr 0.6667 0.3333 0.5459
Zr4 Zr 0.6667 0.3333 0.9541
Al1 Al 0.0000 0.0000 0.0000
Al2 Al 0.0000 0.0000 0.5000
Cu1 Cu 0.1703 0.3406 0.7500
Cu2 Cu 0.1703 0.8297 0.7500
Cu3 Cu 0.3406 0.1703 0.2500
Cu4 Cu 0.6594 0.8297 0.7500
Cu5 Cu 0.8297 0.1703 0.2500
Cu6 Cu 0.8297 0.6594 0.2500
```

Largest 8 diffraction maxima, sorted by position, 5° ≤ 2θ ≤ 70°:
d 3.016, I 25
d 2.597, I 27
d 2.322, I 65
d 2.249, I 25
d 2.189, I 100
d 2.168, I 78
d 1.440, I 24
d 1.407, I 23